Entry 1:
The following is a simulated XRD peak list of LiNiPO4. It was derived from a cell relaxed with GGA+U, using Cu Ka.

The 12 most intense peaks (2θ from 10° to 90°), by angle:
- d = 5.724 Å, rel. 85, (1 1 0)
- d = 4.056 Å, rel. 60, (2 1 0)
- d = 4.027 Å, rel. 84, (0 1 1)
- d = 3.733 Å, rel. 100, (1 1 1)
- d = 3.500 Å, rel. 27, (2 0 1)
- d = 2.998 Å, rel. 38, (3 1 0)
- d = 2.862 Å, rel. 28, (2 2 0)
- d = 2.489 Å, rel. 53, (4 0 0)
- d = 2.474 Å, rel. 70, (2 2 1)
- d = 2.462 Å, rel. 54, (0 0 2)
- d = 1.750 Å, rel. 35, (0 4 0)
- d = 1.425 Å, rel. 41, (2 2 3)

Cell and atoms:
```
LiNiPO4
1.0
9.955 0.000 0.000
0.000 6.995 0.000
0.000 0.000 4.925
Li Ni P O
4 4 4 16
direct
0.160 0.005 0.000
0.340 0.505 0.500
0.660 0.495 0.000
0.840 0.995 0.500
0.145 0.508 0.011
0.355 0.008 0.511
0.645 0.992 0.011
0.855 0.492 0.511
0.096 0.248 0.490
0.404 0.748 0.990
0.596 0.252 0.490
0.904 0.752 0.990
0.057 0.764 0.043
0.127 0.254 0.180
0.150 0.440 0.615
0.167 0.071 0.612
0.333 0.571 0.112
0.350 0.940 0.115
0.373 0.754 0.680
0.443 0.264 0.543
0.557 0.736 0.043
0.627 0.246 0.180
0.650 0.060 0.615
0.667 0.429 0.612
0.833 0.929 0.112
0.850 0.560 0.115
0.873 0.746 0.680
0.943 0.235 0.543
```

=====

Entry 2:
The following is a simulated XRD peak list of LiNiP2O7. It was derived from a cell relaxed with GGA+U, using Cu Ka.

The 12 most intense peaks (2θ from 10° to 90°), by angle:
- d = 6.731 Å, rel. 10, (0 0 1)
- d = 5.237 Å, rel. 100, (0 1 1)
- d = 4.033 Å, rel. 66, (1 1 -1)
- d = 3.544 Å, rel. 17, (0 2 1)
- d = 3.311 Å, rel. 28, (1 0 1)
- d = 3.091 Å, rel. 65, (1 2 -1)
- d = 3.077 Å, rel. 47, (1 1 -2)
- d = 2.619 Å, rel. 16, (0 2 2)
- d = 2.271 Å, rel. 15, (1 1 2)
- d = 2.128 Å, rel. 15, (1 3 -2)
- d = 2.016 Å, rel. 11, (2 2 -2)
- d = 1.613 Å, rel. 12, (2 3 -3)

Cell and atoms:
```
LiNiP2O7
1.0
4.904 0.000 0.000
0.000 8.338 0.000
-2.448 0.000 6.731
Li Ni P O
2 2 4 14
direct
0.177 0.000 0.158
0.823 0.500 0.842
0.221 0.647 0.221
0.779 0.147 0.779
0.209 0.927 0.579
0.400 0.325 0.026
0.600 0.825 0.974
0.791 0.427 0.421
0.054 0.483 0.372
0.141 0.844 0.379
0.193 0.182 0.988
0.243 0.485 0.014
0.390 0.080 0.578
0.393 0.800 0.742
0.405 0.825 0.100
0.595 0.325 0.900
0.607 0.300 0.258
0.610 0.580 0.422
0.757 0.985 0.986
0.807 0.682 0.012
0.859 0.344 0.621
0.946 0.983 0.628
```

=====

Entry 3:
The following is a simulated XRD peak list of LiNiPO4. It was derived from a cell relaxed with GGA+U, using Cu Ka.

The 12 most intense peaks (2θ from 10° to 90°), by angle:
- d = 6.070 Å, rel. 31, (0 1 1)
- d = 4.571 Å, rel. 100, (0 0 2)
- d = 4.419 Å, rel. 46, (1 0 0)
- d = 4.362 Å, rel. 71, (1 0 -2)
- d = 4.059 Å, rel. 98, (0 2 0)
- d = 3.710 Å, rel. 30, (0 2 1)
- d = 3.153 Å, rel. 37, (1 2 -1)
- d = 3.096 Å, rel. 33, (1 1 -3)
- d = 2.621 Å, rel. 41, (1 0 2)
- d = 2.585 Å, rel. 30, (1 0 -4)
- d = 2.503 Å, rel. 28, (2 0 -2)
- d = 1.881 Å, rel. 26, (1 4 -1)

Cell and atoms:
```
LiNiPO4
1.0
5.006 0.000 0.000
0.000 8.117 0.000
-4.864 0.000 9.142
Li Ni P O
4 4 4 16
direct
0.054 0.045 0.378
0.054 0.455 0.878
0.946 0.545 0.122
0.946 0.955 0.622
0.331 0.172 0.084
0.331 0.328 0.584
0.669 0.672 0.416
0.669 0.828 0.916
0.320 0.748 0.075
0.320 0.752 0.575
0.680 0.248 0.425
0.680 0.252 0.925
0.016 0.677 0.948
0.016 0.823 0.448
0.307 0.564 0.571
0.307 0.936 0.071
0.333 0.677 0.217
0.333 0.823 0.717
0.411 0.187 0.448
0.411 0.313 0.948
0.589 0.687 0.052
0.589 0.813 0.552
0.667 0.177 0.283
0.667 0.323 0.783
0.693 0.064 0.929
0.693 0.436 0.429
0.984 0.177 0.552
0.984 0.323 0.052
```